Simulated powder diffraction line list
Compound: RbTc2MoO8
Radiation: Cu Kα, 1.54184 Å
Structure: the GGA+U geometry in Alexandria

The 12 most intense peaks (10° ≤ 2θ ≤ 80°), by intensity:
| 2θ/deg | I/Imax | h k l |
| --- | --- | --- |
| 20.88 | 100 | 0 1 1 |
| 28.80 | 70 | 0 1 2 |
| 30.57 | 64 | 1 1 0 |
| 42.50 | 30 | 0 2 2 |
| 53.25 | 25 | 3 -2 2 |
| 56.53 | 24 | 1 1 4 |
| 48.97 | 19 | 1 2 1 |
| 54.33 | 12 | 3 0 0 |
| 63.63 | 12 | 2 2 0 |
| 17.51 | 12 | 1 0 0 |
| 71.31 | 10 | 3 1 2 |
| 74.12 | 10 | 3 0 4 |

Atomic structure:
```
RbTc2MoO8
1.0
5.849 0.000 0.000
-2.925 5.066 0.000
0.000 0.000 7.838
Rb Tc Mo O
1 2 1 8
Cartesian
0.000 0.000 0.000 Rb
0.000 3.377 5.764 Tc
2.925 1.689 2.074 Tc
0.000 0.000 3.919 Mo
-0.019 1.682 5.166 O
-1.458 4.242 5.166 O
1.447 0.858 2.672 O
0.000 3.377 7.513 O
2.925 1.689 0.325 O
1.478 4.208 5.166 O
4.383 0.824 2.672 O
2.944 3.384 2.672 O
```